Record 1
# CsLiO
Theoretical X-ray diffraction stick pattern, Cu Kα, 1.54184 Å. Input: a cell relaxed with GGA-PBE.
Neutral-atom scattering factors, no anomalous dispersion.

Largest 8 diffraction maxima, low angle first, 10 to 80 degrees two-theta:
2theta	I_rel
15.8	39
26.0	100
30.3	66
31.9	21
33.3	64
37.1	55
46.6	28
59.6	19

Structure:
abc: 6.862 3.650 9.791
angles: 90.00 90.00 90.00
Element x y z (fractional)
Cs (0.005, 0.250, 0.174)
Cs (0.495, 0.750, 0.674)
Cs (0.505, 0.250, 0.326)
Cs (0.995, 0.750, 0.826)
Li (0.097, 0.750, 0.507)
Li (0.403, 0.250, 0.007)
Li (0.597, 0.750, 0.993)
Li (0.903, 0.250, 0.493)
O (0.184, 0.250, 0.540)
O (0.316, 0.750, 0.040)
O (0.684, 0.250, 0.960)
O (0.816, 0.750, 0.460)

***

Record 2
# ReMo2C
Theoretical X-ray diffraction stick pattern, Cu Kα, 1.54184 Å. Input: a cell relaxed with GGA-PBE.
Neutral-atom scattering factors, no anomalous dispersion.

Largest 8 diffraction maxima, low angle first, 10 to 80 degrees two-theta:
2theta	I_rel
12.7	33
35.0	28
35.8	28
38.8	39
38.9	100
41.1	64
62.3	32
75.9	47

Structure:
abc: 7.178 7.178 7.178
angles: 23.97 23.97 23.97
Element x y z (fractional)
Re (0.000, 0.000, 0.000)
Mo (0.550, 0.550, 0.550)
Mo (0.773, 0.773, 0.773)
C (0.276, 0.276, 0.276)

***

Record 3
# MnGa2S4
Theoretical X-ray diffraction stick pattern, Cu Kα, 1.54184 Å. Input: a cell relaxed with GGA-PBE.
Neutral-atom scattering factors, no anomalous dispersion.

Largest 8 diffraction maxima, low angle first, 10 to 80 degrees two-theta:
2theta	I_rel
22.2	100
27.7	93
32.7	43
35.5	44
44.3	46
48.0	40
48.7	83
48.8	66

Structure:
abc: 6.444 12.398 13.066
angles: 115.35 99.04 100.83
Element x y z (fractional)
Mn (0.036, 0.284, 0.066)
Mn (0.205, 0.457, 0.412)
Mn (0.380, 0.631, 0.760)
Mn (0.620, 0.369, 0.240)
Mn (0.795, 0.543, 0.588)
Mn (0.964, 0.716, 0.934)
Ga (0.046, 0.667, 0.248)
Ga (0.199, 0.082, 0.249)
Ga (0.207, 0.828, 0.581)
Ga (0.371, 0.254, 0.582)
Ga (0.372, 0.018, 0.902)
Ga (0.466, 0.613, 0.098)
Ga (0.534, 0.387, 0.902)
Ga (0.628, 0.982, 0.098)
Ga (0.629, 0.746, 0.418)
Ga (0.793, 0.172, 0.419)
Ga (0.801, 0.918, 0.751)
Ga (0.954, 0.333, 0.752)
S (0.003, 0.525, 0.764)
S (0.073, 0.086, 0.897)
S (0.096, 0.091, 0.418)
S (0.171, 0.650, 0.588)
S (0.175, 0.690, 0.103)
S (0.244, 0.261, 0.236)
S (0.247, 0.243, 0.737)
S (0.325, 0.826, 0.418)
S (0.345, 0.845, 0.933)
S (0.417, 0.412, 0.069)
S (0.420, 0.440, 0.589)
S (0.489, 0.992, 0.736)
S (0.511, 0.008, 0.264)
S (0.580, 0.560, 0.411)
S (0.583, 0.588, 0.931)
S (0.655, 0.155, 0.067)
S (0.675, 0.174, 0.582)
S (0.753, 0.757, 0.263)
S (0.756, 0.739, 0.764)
S (0.825, 0.310, 0.897)
S (0.829, 0.350, 0.412)
S (0.904, 0.909, 0.582)
S (0.927, 0.914, 0.103)
S (0.997, 0.475, 0.236)